Entry 1:
This entry pairs a crystal structure of Li4Mo3O8 with its theoretical powder XRD pattern. Radiation: Cu Kα X-rays. Structure: a crystal structure in Alexandria, relaxed with GGA+U.
Peak positions follow from Bragg's law for the DFT cell and can differ from measured ones.

Most intense lines, 5° ≤ 2θ ≤ 70°, most intense first:
d_spacing, Rel. int.
4.886, 100.0
2.172, 80.0
2.652, 54.8
5.061, 48.3
4.343, 27.0
1.557, 24.4
2.530, 22.8
1.515, 22.2
1.984, 20.2
1.483, 19.2

Structural model:
```
15
Lattice="3.113 1.798 4.886 -3.113 1.798 4.886 0.000 -3.595 4.886" Properties=species:S:1:pos:R:3 pbc="T T T"
Li 0.000 0.000 0.000
Li -1.557 -0.899 4.886
Li -1.557 0.899 9.771
Li 0.000 1.798 4.886
Mo -3.113 0.000 7.328
Mo -1.557 0.899 2.443
Mo 1.557 0.899 2.443
O -1.699 -0.981 8.445
O 0.000 -1.962 6.212
O -1.699 0.981 6.212
O 0.000 0.000 3.654
O 0.000 0.000 11.002
O 1.699 -0.981 8.445
O 0.000 1.962 8.445
O 1.699 0.981 6.212
```

---

Entry 2:
This entry pairs a crystal structure of Li6Mo2O7 with its theoretical powder XRD pattern. Radiation: Cu Kα X-rays. Structure: a crystal structure in Alexandria, relaxed with GGA+U.
Peak positions follow from Bragg's law for the DFT cell and can differ from measured ones.

Most intense lines, 5° ≤ 2θ ≤ 70°, most intense first:
d_spacing, Rel. int.
8.498, 100.0
5.997, 94.3
2.153, 72.2
5.003, 66.2
4.900, 60.2
3.842, 59.8
3.467, 44.8
1.512, 38.6
2.125, 34.2
2.750, 30.2

Structural model:
```
30
Lattice="6.189 0.000 0.000 0.000 8.498 0.000 0.000 0.000 5.997" Properties=species:S:1:pos:R:3 pbc="T T T"
Li 0.000 0.000 0.000
Li 0.000 0.000 2.431
Li 0.000 4.249 5.647
Li 1.547 1.975 1.275
Li 1.547 2.332 4.579
Li 1.547 6.209 4.201
Li 3.094 0.000 0.000
Li 3.094 0.000 2.431
Li 3.094 4.249 5.647
Li 4.642 2.289 4.201
Li 4.642 6.166 4.579
Li 4.642 6.523 1.275
Mo 0.000 4.249 2.722
Mo 1.547 6.474 1.079
Mo 3.094 4.249 2.722
Mo 4.642 2.024 1.079
O 0.097 6.508 5.759
O 0.138 6.435 2.602
O 1.547 4.221 4.182
O 1.547 4.358 1.166
O 1.547 8.450 1.206
O 2.956 6.435 2.602
O 2.997 6.508 5.759
O 3.192 1.991 5.759
O 3.233 2.064 2.602
O 4.642 0.048 1.206
O 4.642 4.141 1.166
O 4.642 4.277 4.182
O 6.051 2.064 2.602
O 6.091 1.991 5.759
```

---

Entry 3:
This entry pairs a crystal structure of Li4Mo3O8 with its theoretical powder XRD pattern. Radiation: Cu Kα X-rays. Structure: a crystal structure in Alexandria, relaxed with GGA+U.
Peak positions follow from Bragg's law for the DFT cell and can differ from measured ones.

Most intense lines, 5° ≤ 2θ ≤ 70°, most intense first:
d_spacing, Rel. int.
5.413, 100.0
2.144, 42.9
2.494, 32.7
4.821, 20.7
4.287, 14.6
1.582, 14.5
1.708, 14.4
1.993, 12.2
1.457, 10.7
2.410, 9.6

Structural model:
```
30
Lattice="2.915 1.683 10.826 -2.915 1.683 10.826 0.000 -3.366 10.826" Properties=species:S:1:pos:R:3 pbc="T T T"
Li 0.000 0.000 0.000
Li 0.000 0.000 5.659
Li 0.000 0.000 7.975
Li 0.000 0.000 10.231
Li 0.000 0.000 16.239
Li 0.000 0.000 22.248
Li 0.000 0.000 24.503
Li 0.000 0.000 26.819
Mo 0.000 -1.503 13.538
Mo -1.302 0.751 13.538
Mo -1.302 -0.751 18.941
Mo 1.302 0.751 13.538
Mo 1.302 -0.751 18.941
Mo 0.000 1.503 18.941
O 0.000 -1.714 9.170
O -1.484 0.857 9.170
O 0.000 0.000 3.763
O -1.432 -0.826 14.814
O 0.000 0.000 12.080
O -1.484 -0.857 23.309
O 0.000 -1.653 17.665
O -1.432 0.826 17.665
O 1.432 -0.826 14.814
O 0.000 1.653 14.814
O 1.484 0.857 9.170
O 0.000 0.000 20.399
O 1.432 0.826 17.665
O 0.000 0.000 28.716
O 1.484 -0.857 23.309
O 0.000 1.714 23.309
```

---

Entry 4:
This entry pairs a crystal structure of Li4MoO5 with its theoretical powder XRD pattern. Radiation: Cu Kα X-rays. Structure: a crystal structure in Alexandria, relaxed with GGA+U.
Peak positions follow from Bragg's law for the DFT cell and can differ from measured ones.

Most intense lines, 5° ≤ 2θ ≤ 70°, most intense first:
d_spacing, Rel. int.
4.834, 100.0
4.657, 31.9
3.549, 31.3
2.106, 27.5
2.128, 23.9
2.064, 22.7
3.978, 22.1
3.389, 21.4
3.590, 18.4
1.488, 14.2

Structural model:
```
20
Lattice="5.133 0.000 0.000 -1.024 5.076 0.000 -1.598 -2.842 7.101" Properties=species:S:1:pos:R:3 pbc="T T T"
Li 0.000 0.000 0.000
Li -0.922 -1.010 4.985
Li -0.024 0.852 2.771
Li 0.682 2.753 0.692
Li 1.768 -1.421 3.551
Li 1.829 -0.518 6.409
Li 2.535 1.382 4.330
Li 3.434 3.244 2.116
Mo -0.032 1.732 5.556
Mo 2.543 0.503 1.545
O -1.591 0.690 6.000
O -0.888 2.494 4.066
O 1.016 -0.653 1.768
O 0.175 -1.827 6.803
O 0.804 0.303 4.717
O 1.708 1.931 2.384
O 2.336 4.062 0.299
O 1.495 2.888 5.333
O 3.399 -0.260 3.035
O 4.103 1.544 1.101
```

---

Entry 5:
This entry pairs a crystal structure of Li5MoO4 with its theoretical powder XRD pattern. Radiation: Cu Kα X-rays. Structure: a crystal structure in Alexandria, relaxed with GGA+U.
Peak positions follow from Bragg's law for the DFT cell and can differ from measured ones.

Most intense lines, 5° ≤ 2θ ≤ 70°, most intense first:
d_spacing, Rel. int.
5.804, 100.0
5.164, 64.6
4.293, 64.2
2.702, 43.8
2.335, 38.4
3.533, 30.9
3.072, 30.3
1.901, 27.6
2.344, 26.0
1.470, 20.7

Structural model:
```
10
Lattice="5.916 -1.593 0.000 5.916 1.593 0.000 -1.019 0.000 5.164" Properties=species:S:1:pos:R:3 pbc="T T T"
Li 0.000 0.000 0.000
Li 3.326 0.000 1.980
Li 2.902 0.000 4.922
Li 7.911 0.000 0.242
Li 7.487 0.000 3.183
Mo -0.509 0.000 2.582
O 1.058 0.000 4.137
O 4.331 0.000 3.636
O 6.482 0.000 1.528
O 9.755 0.000 1.026
```

---

Entry 6:
This entry pairs a crystal structure of Li8MoO6 with its theoretical powder XRD pattern. Radiation: Cu Kα X-rays. Structure: a crystal structure in Alexandria, relaxed with GGA+U.
Peak positions follow from Bragg's law for the DFT cell and can differ from measured ones.

Most intense lines, 5° ≤ 2θ ≤ 70°, most intense first:
d_spacing, Rel. int.
3.654, 100.0
4.944, 85.0
2.855, 37.0
5.423, 30.8
2.249, 26.1
2.377, 25.3
1.767, 23.9
1.648, 22.5
2.711, 21.4
1.966, 20.1

Structural model:
```
30
Lattice="5.709 0.000 0.000 -2.855 4.944 0.000 0.000 0.000 10.846" Properties=species:S:1:pos:R:3 pbc="T T T"
Li -0.912 1.579 0.000
Li -1.133 1.962 3.941
Li -1.722 2.982 9.364
Li -1.943 3.365 5.423
Li 1.824 0.000 0.000
Li 0.912 1.579 5.423
Li 0.000 3.296 1.517
Li 0.000 3.296 6.940
Li 2.266 0.000 3.941
Li 1.133 1.962 9.364
Li 3.444 0.000 9.364
Li 1.722 2.982 3.941
Li 2.855 1.648 1.517
Li 2.855 1.648 6.940
Li 3.885 0.000 5.423
Li 1.943 3.365 0.000
Mo 0.000 0.000 2.418
Mo 0.000 0.000 7.840
O 0.000 0.000 4.457
O 0.000 0.000 9.880
O -0.944 1.635 1.997
O -1.911 3.309 7.419
O 1.888 0.000 1.997
O 0.944 1.635 7.419
O 0.000 3.296 4.872
O 0.000 3.296 10.295
O 2.855 1.648 4.872
O 2.855 1.648 10.295
O 3.821 0.000 7.419
O 1.911 3.309 1.997
```

---

Entry 7:
This entry pairs a crystal structure of Li4MoO5 with its theoretical powder XRD pattern. Radiation: Cu Kα X-rays. Structure: a crystal structure in Alexandria, relaxed with GGA+U.
Peak positions follow from Bragg's law for the DFT cell and can differ from measured ones.

Most intense lines, 5° ≤ 2θ ≤ 70°, most intense first:
d_spacing, Rel. int.
4.838, 100.0
4.805, 60.4
3.666, 42.8
2.093, 42.7
4.362, 41.6
2.072, 41.3
4.338, 41.2
2.129, 36.9
3.185, 28.9
2.520, 26.5

Structural model:
```
20
Lattice="5.135 0.000 0.000 -1.628 5.646 0.000 -1.020 -1.815 6.370" Properties=species:S:1:pos:R:3 pbc="T T T"
Li 0.000 0.000 0.000
Li -0.814 2.823 0.000
Li -0.172 1.504 2.468
Li -0.851 4.322 2.464
Li -0.061 3.050 5.123
Li 2.548 0.781 1.247
Li 3.337 -0.490 3.906
Li 2.658 2.328 3.902
Mo 0.776 0.201 4.947
Mo 1.710 3.631 1.423
O -1.712 4.215 4.558
O -0.798 1.214 4.480
O 0.960 1.911 0.577
O 0.189 4.536 0.696
O 1.591 0.499 3.316
O 0.895 3.332 3.054
O 2.297 -0.704 5.673
O 1.526 1.921 5.793
O 3.285 2.618 1.890
O 4.198 -0.384 1.812
```

---

Entry 8:
This entry pairs a crystal structure of Li3MoO3 with its theoretical powder XRD pattern. Radiation: Cu Kα X-rays. Structure: a crystal structure in Alexandria, relaxed with GGA+U.
Peak positions follow from Bragg's law for the DFT cell and can differ from measured ones.

Most intense lines, 5° ≤ 2θ ≤ 70°, most intense first:
d_spacing, Rel. int.
5.636, 100.0
3.145, 53.3
2.366, 20.2
7.671, 19.3
2.589, 19.2
2.938, 16.8
2.147, 15.0
3.919, 14.9
1.704, 12.7
1.694, 11.9

Structural model:
```
14
Lattice="6.048 0.000 0.000 0.000 3.448 0.000 -2.968 0.000 7.671" Properties=species:S:1:pos:R:3 pbc="T T T"
Li -0.746 0.862 2.305
Li 0.805 2.586 0.152
Li -0.651 0.862 7.298
Li 3.731 2.586 0.373
Li 2.275 0.862 7.519
Li 3.825 2.586 5.366
Mo 0.952 2.586 5.117
Mo 2.127 0.862 2.554
O 0.802 0.862 0.982
O 0.353 0.862 3.882
O -0.665 2.586 6.511
O 3.745 0.862 1.160
O 2.727 2.586 3.789
O 2.278 2.586 6.689
```

---

Entry 9:
This entry pairs a crystal structure of LiMoP2O8 with its theoretical powder XRD pattern. Radiation: Cu Kα X-rays. Structure: a crystal structure in Alexandria, relaxed with GGA+U.
Peak positions follow from Bragg's law for the DFT cell and can differ from measured ones.

Most intense lines, 5° ≤ 2θ ≤ 70°, most intense first:
d_spacing, Rel. int.
8.715, 100.0
3.865, 69.4
3.065, 30.8
2.489, 13.0
2.409, 11.6
1.602, 8.7
1.932, 8.3
1.428, 7.4
1.526, 6.7
1.945, 6.3

Structural model:
```
12
Lattice="4.979 0.000 0.000 -2.489 4.312 0.000 0.000 0.000 8.715" Properties=species:S:1:pos:R:3 pbc="T T T"
Li 0.000 0.000 0.000
Mo 2.489 1.437 3.680
P 0.000 0.000 5.430
P 0.000 2.874 1.908
O 0.000 0.000 6.913
O -1.442 2.662 2.490
O 1.424 0.236 4.827
O 0.000 2.874 0.410
O 0.905 1.732 2.490
O 0.537 4.229 2.490
O 1.981 2.960 4.827
O 4.062 1.116 4.827
```

---

Entry 10:
This entry pairs a crystal structure of LiMo3P3O16 with its theoretical powder XRD pattern. Radiation: Cu Kα X-rays. Structure: a crystal structure in Alexandria, relaxed with GGA+U.
Peak positions follow from Bragg's law for the DFT cell and can differ from measured ones.

Most intense lines, 5° ≤ 2θ ≤ 70°, most intense first:
d_spacing, Rel. int.
4.092, 100.0
3.868, 93.4
4.392, 81.4
4.592, 72.4
4.249, 57.3
3.055, 51.5
6.064, 47.7
3.767, 47.3
3.527, 45.7
4.484, 42.7

Structural model:
```
46
Lattice="6.464 0.000 0.000 1.231 7.829 0.000 2.665 1.913 12.276" Properties=species:S:1:pos:R:3 pbc="T T T"
Li 1.803 3.379 3.908
Li 8.558 6.363 8.368
Mo 3.189 3.553 10.244
Mo 4.121 7.068 5.802
Mo 6.224 7.878 10.408
Mo 4.136 1.864 1.868
Mo 6.239 2.674 6.474
Mo 7.171 6.190 2.032
P 0.876 1.427 1.356
P 2.955 2.335 6.958
P 5.342 5.303 8.440
P 5.018 4.439 3.836
P 7.405 7.407 5.318
P 9.484 8.315 10.920
O 1.808 2.898 6.061
O 1.924 7.733 1.433
O 1.757 4.844 2.162
O 2.885 2.965 8.348
O 3.765 3.803 12.188
O 4.225 7.569 10.271
O 4.081 8.640 7.147
O 2.122 1.871 2.202
O 4.127 5.907 7.703
O 4.033 8.106 4.452
O 4.887 4.506 9.686
O 4.119 5.290 4.755
O 4.708 1.786 10.347
O 4.244 2.746 6.227
O 6.321 7.459 12.052
O 4.061 3.295 3.303
O 6.299 6.447 8.973
O 4.039 2.283 0.224
O 6.117 6.996 6.049
O 5.652 7.956 1.929
O 6.241 4.452 7.521
O 5.473 5.237 2.590
O 6.327 1.636 7.824
O 6.233 3.836 4.573
O 8.238 7.871 10.074
O 6.279 1.103 5.129
O 6.136 2.173 2.005
O 6.595 5.940 0.088
O 7.475 6.778 3.928
O 8.604 4.898 10.114
O 8.436 2.009 10.843
O 8.552 6.845 6.215
```

---

Repeat the fourth record exactly.
This entry pairs a crystal structure of Li4MoO5 with its theoretical powder XRD pattern. Radiation: Cu Kα X-rays. Structure: a crystal structure in Alexandria, relaxed with GGA+U.
Peak positions follow from Bragg's law for the DFT cell and can differ from measured ones.

Most intense lines, 5° ≤ 2θ ≤ 70°, most intense first:
d_spacing, Rel. int.
4.834, 100.0
4.657, 31.9
3.549, 31.3
2.106, 27.5
2.128, 23.9
2.064, 22.7
3.978, 22.1
3.389, 21.4
3.590, 18.4
1.488, 14.2

Structural model:
```
20
Lattice="5.133 0.000 0.000 -1.024 5.076 0.000 -1.598 -2.842 7.101" Properties=species:S:1:pos:R:3 pbc="T T T"
Li 0.000 0.000 0.000
Li -0.922 -1.010 4.985
Li -0.024 0.852 2.771
Li 0.682 2.753 0.692
Li 1.768 -1.421 3.551
Li 1.829 -0.518 6.409
Li 2.535 1.382 4.330
Li 3.434 3.244 2.116
Mo -0.032 1.732 5.556
Mo 2.543 0.503 1.545
O -1.591 0.690 6.000
O -0.888 2.494 4.066
O 1.016 -0.653 1.768
O 0.175 -1.827 6.803
O 0.804 0.303 4.717
O 1.708 1.931 2.384
O 2.336 4.062 0.299
O 1.495 2.888 5.333
O 3.399 -0.260 3.035
O 4.103 1.544 1.101
```